[1]
# RbBaTeBr2
Computed powder diffraction line list, Cu Kα (weighted mean of Kα1 and Kα2). Input: DFT lattice parameters and positions (PBE).
Kinematic intensities with the Lorentz-polarization factor, no thermal factor.

Main lines, in order of rising 2θ (5 to 70 degrees two-theta):
- d 6.308, rel. 58
- d 4.460, rel. 29
- d 3.738, rel. 72
- d 3.425, rel. 62
- d 3.154, rel. 100
- d 2.320, rel. 85
- d 2.230, rel. 38
- d 1.915, rel. 22
- d 1.869, rel. 43
- d 1.505, rel. 21

Atomic structure:
```
data_RbBaTeBr2
_cell_length_a 6.308
_cell_length_b 6.308
_cell_length_c 6.849
_cell_angle_alpha 90.00
_cell_angle_beta 90.00
_cell_angle_gamma 90.00
_symmetry_space_group_name_H-M 'P 1'
_symmetry_Int_Tables_number 1
_symmetry_space_group_name_Hall 'P 1'
loop_
_atom_site_label
_atom_site_type_symbol
_atom_site_fract_x
_atom_site_fract_y
_atom_site_fract_z
Rb1 Rb 0.000 0.000 0.000
Ba1 Ba 0.500 0.500 0.500
Te1 Te 0.500 0.500 0.000
Br1 Br 0.000 0.500 0.500
Br2 Br 0.500 0.000 0.500
```


[2]
# ThPt5Pb
Computed powder diffraction line list, Cu Kα (weighted mean of Kα1 and Kα2). Input: DFT lattice parameters and positions (PBE).
Kinematic intensities with the Lorentz-polarization factor, no thermal factor.

Main lines, in order of rising 2θ (5 to 70 degrees two-theta):
- d 2.769, rel. 32
- d 2.644, rel. 63
- d 2.549, rel. 100
- d 2.529, rel. 38
- d 2.476, rel. 28
- d 2.301, rel. 58
- d 2.186, rel. 31
- d 2.165, rel. 54
- d 2.149, rel. 85
- d 1.512, rel. 27

Atomic structure:
```
data_ThPt5Pb
_cell_length_a 8.921
_cell_length_b 5.537
_cell_length_c 11.072
_cell_angle_alpha 90.00
_cell_angle_beta 90.00
_cell_angle_gamma 90.00
_symmetry_space_group_name_H-M 'P 1'
_symmetry_Int_Tables_number 1
_symmetry_space_group_name_Hall 'P 1'
loop_
_atom_site_label
_atom_site_type_symbol
_atom_site_fract_x
_atom_site_fract_y
_atom_site_fract_z
Th1 Th 0.244 0.250 0.044
Th2 Th 0.256 0.750 0.544
Th3 Th 0.744 0.250 0.456
Th4 Th 0.756 0.750 0.956
Pt1 Pt 0.077 0.505 0.808
Pt2 Pt 0.077 0.995 0.808
Pt3 Pt 0.087 0.250 0.589
Pt4 Pt 0.088 0.750 0.023
Pt5 Pt 0.169 0.750 0.270
Pt6 Pt 0.331 0.250 0.770
Pt7 Pt 0.412 0.250 0.523
Pt8 Pt 0.413 0.750 0.089
Pt9 Pt 0.423 0.005 0.308
Pt10 Pt 0.423 0.495 0.308
Pt11 Pt 0.577 0.505 0.692
Pt12 Pt 0.577 0.995 0.692
Pt13 Pt 0.587 0.250 0.911
Pt14 Pt 0.588 0.750 0.477
Pt15 Pt 0.669 0.750 0.230
Pt16 Pt 0.831 0.250 0.730
Pt17 Pt 0.912 0.250 0.977
Pt18 Pt 0.913 0.750 0.411
Pt19 Pt 0.923 0.005 0.192
Pt20 Pt 0.923 0.495 0.192
Pb1 Pb 0.136 0.250 0.350
Pb2 Pb 0.364 0.750 0.850
Pb3 Pb 0.636 0.250 0.150
Pb4 Pb 0.864 0.750 0.650
```


[3]
# YEr4Ru2
Computed powder diffraction line list, Cu Kα (weighted mean of Kα1 and Kα2). Input: DFT lattice parameters and positions (PBE).
Kinematic intensities with the Lorentz-polarization factor, no thermal factor.

Main lines, in order of rising 2θ (5 to 70 degrees two-theta):
- d 7.281, rel. 34
- d 2.881, rel. 100
- d 2.829, rel. 70
- d 2.802, rel. 43
- d 2.624, rel. 48
- d 2.582, rel. 35
- d 2.446, rel. 48
- d 2.426, rel. 57
- d 2.375, rel. 43
- d 2.355, rel. 42

Atomic structure:
```
data_YEr4Ru2
_cell_length_a 7.701
_cell_length_b 6.281
_cell_length_c 7.879
_cell_angle_alpha 90.00
_cell_angle_beta 112.46
_cell_angle_gamma 90.00
_symmetry_space_group_name_H-M 'P 1'
_symmetry_Int_Tables_number 1
_symmetry_space_group_name_Hall 'P 1'
loop_
_atom_site_label
_atom_site_type_symbol
_atom_site_fract_x
_atom_site_fract_y
_atom_site_fract_z
Y1 Y 0.023 0.250 0.163
Y2 Y 0.977 0.750 0.837
Er1 Er 0.242 0.501 0.584
Er2 Er 0.242 0.999 0.584
Er3 Er 0.326 0.750 0.250
Er4 Er 0.380 0.250 0.020
Er5 Er 0.620 0.750 0.980
Er6 Er 0.674 0.250 0.750
Er7 Er 0.758 0.001 0.416
Er8 Er 0.758 0.499 0.416
Ru1 Ru 0.023 0.250 0.741
Ru2 Ru 0.416 0.250 0.376
Ru3 Ru 0.584 0.750 0.624
Ru4 Ru 0.977 0.750 0.259
```


[4]
# RbPrTeS
Computed powder diffraction line list, Cu Kα (weighted mean of Kα1 and Kα2). Input: DFT lattice parameters and positions (PBE).
Kinematic intensities with the Lorentz-polarization factor, no thermal factor.

Main lines, in order of rising 2θ (5 to 70 degrees two-theta):
- d 8.405, rel. 42
- d 3.661, rel. 75
- d 3.048, rel. 100
- d 2.623, rel. 57
- d 2.209, rel. 53
- d 2.104, rel. 25
- d 1.789, rel. 21
- d 1.690, rel. 15
- d 1.523, rel. 25
- d 1.390, rel. 18

Atomic structure:
```
data_RbPrTeS
_cell_length_a 8.784
_cell_length_b 8.784
_cell_length_c 8.784
_cell_angle_alpha 29.13
_cell_angle_beta 29.13
_cell_angle_gamma 29.13
_symmetry_space_group_name_H-M 'P 1'
_symmetry_Int_Tables_number 1
_symmetry_space_group_name_Hall 'P 1'
loop_
_atom_site_label
_atom_site_type_symbol
_atom_site_fract_x
_atom_site_fract_y
_atom_site_fract_z
Rb1 Rb 0.000 0.000 0.000
Pr1 Pr 0.156 0.156 0.156
Te1 Te 0.567 0.567 0.567
S1 S 0.767 0.767 0.767
```


[5]
# Li5BrF4
Computed powder diffraction line list, Cu Kα (weighted mean of Kα1 and Kα2). Input: DFT lattice parameters and positions (PBE).
Kinematic intensities with the Lorentz-polarization factor, no thermal factor.

Main lines, in order of rising 2θ (5 to 70 degrees two-theta):
- d 12.532, rel. 100
- d 6.266, rel. 31
- d 4.177, rel. 18
- d 2.722, rel. 17
- d 2.640, rel. 16
- d 2.584, rel. 60
- d 2.506, rel. 16
- d 2.449, rel. 21
- d 2.220, rel. 62
- d 1.588, rel. 22

Atomic structure:
```
data_Li5BrF4
_cell_length_a 12.665
_cell_length_b 12.665
_cell_length_c 12.665
_cell_angle_alpha 14.41
_cell_angle_beta 14.41
_cell_angle_gamma 14.41
_symmetry_space_group_name_H-M 'P 1'
_symmetry_Int_Tables_number 1
_symmetry_space_group_name_Hall 'P 1'
loop_
_atom_site_label
_atom_site_type_symbol
_atom_site_fract_x
_atom_site_fract_y
_atom_site_fract_z
Li1 Li 0.000 0.000 0.000
Li2 Li 0.213 0.213 0.213
Li3 Li 0.393 0.393 0.393
Li4 Li 0.607 0.607 0.607
Li5 Li 0.787 0.787 0.787
Br1 Br 0.500 0.500 0.500
F1 F 0.090 0.090 0.090
F2 F 0.303 0.303 0.303
F3 F 0.697 0.697 0.697
F4 F 0.910 0.910 0.910
```


[6]
# Ho8CdOs2
Computed powder diffraction line list, Cu Kα (weighted mean of Kα1 and Kα2). Input: DFT lattice parameters and positions (PBE).
Kinematic intensities with the Lorentz-polarization factor, no thermal factor.

Main lines, in order of rising 2θ (5 to 70 degrees two-theta):
- d 2.867, rel. 91
- d 2.835, rel. 50
- d 2.701, rel. 23
- d 2.632, rel. 20
- d 2.605, rel. 80
- d 2.527, rel. 100
- d 2.225, rel. 19
- d 2.110, rel. 28
- d 1.499, rel. 19
- d 1.489, rel. 20

Atomic structure:
```
data_Ho8CdOs2
_cell_length_a 9.006
_cell_length_b 9.006
_cell_length_c 9.006
_cell_angle_alpha 146.36
_cell_angle_beta 57.47
_cell_angle_gamma 134.84
_symmetry_space_group_name_H-M 'P 1'
_symmetry_Int_Tables_number 1
_symmetry_space_group_name_Hall 'P 1'
loop_
_atom_site_label
_atom_site_type_symbol
_atom_site_fract_x
_atom_site_fract_y
_atom_site_fract_z
Ho1 Ho 0.000 0.000 0.000
Ho2 Ho 0.256 0.589 0.667
Ho3 Ho 0.342 0.452 0.890
Ho4 Ho 0.419 0.129 0.290
Ho5 Ho 0.563 0.452 0.110
Ho6 Ho 0.723 0.223 0.500
Ho7 Ho 0.839 0.129 0.710
Ho8 Ho 0.923 0.589 0.333
Cd1 Cd 0.296 0.796 0.500
Os1 Os 0.653 0.822 0.830
Os2 Os 0.992 0.822 0.170
```


[7]
# Pr4Sm3Tm5
Computed powder diffraction line list, Cu Kα (weighted mean of Kα1 and Kα2). Input: DFT lattice parameters and positions (PBE).
Kinematic intensities with the Lorentz-polarization factor, no thermal factor.

Main lines, in order of rising 2θ (5 to 70 degrees two-theta):
- d 3.675, rel. 26
- d 3.072, rel. 24
- d 3.039, rel. 24
- d 2.990, rel. 100
- d 2.866, rel. 42
- d 2.820, rel. 62
- d 2.766, rel. 95
- d 2.698, rel. 66
- d 2.069, rel. 35
- d 1.693, rel. 22

Atomic structure:
```
data_Pr4Sm3Tm5
_cell_length_a 8.597
_cell_length_b 8.597
_cell_length_c 9.445
_cell_angle_alpha 115.20
_cell_angle_beta 115.20
_cell_angle_gamma 40.71
_symmetry_space_group_name_H-M 'P 1'
_symmetry_Int_Tables_number 1
_symmetry_space_group_name_Hall 'P 1'
loop_
_atom_site_label
_atom_site_type_symbol
_atom_site_fract_x
_atom_site_fract_y
_atom_site_fract_z
Pr1 Pr 0.087 0.087 0.450
Pr2 Pr 0.213 0.213 0.887
Pr3 Pr 0.787 0.787 0.113
Pr4 Pr 0.913 0.913 0.550
Sm1 Sm 0.216 0.216 0.243
Sm2 Sm 0.500 0.500 0.000
Sm3 Sm 0.784 0.784 0.757
Tm1 Tm 0.000 0.000 0.000
Tm2 Tm 0.331 0.331 0.622
Tm3 Tm 0.431 0.431 0.300
Tm4 Tm 0.569 0.569 0.700
Tm5 Tm 0.669 0.669 0.378
```